Simulated powder X-ray diffraction pattern of NbSi23 for Cu Kα, 1.54184 Å, from a PBE-relaxed structure.
No peak broadening, texture or thermal motion is included.

Peak list (10 most intense, 2θ from 5° to 70°, most intense first)
| d/Å | two_theta | Rel. int. | index |
| --- | --- | --- | --- |
| 2.725 | 32.86 | 100 | 3 2 1 |
| 7.210 | 12.28 | 77 | 1 1 0 |
| 1.654 | 55.56 | 41 | 5 3 2 |
| 4.560 | 19.47 | 41 | 2 1 0 |
| 2.403 | 37.42 | 25 | 3 3 0 |
| 1.699 | 53.95 | 20 | 6 0 0 |
| 1.749 | 52.32 | 15 | 5 3 0 |
| 2.473 | 36.33 | 14 | 4 1 0 |
| 2.225 | 40.54 | 13 | 4 2 1 |
| 1.724 | 53.14 | 12 | 5 3 1 |

Atomic structure:
```
data_NbSi23
_chemical_formula_sum 'Nb2 Si46'
_symmetry_space_group_name_H-M 'P m -3 n'
_symmetry_Int_Tables_number 223
_symmetry_space_group_name_Hall '-P 4n 2 3'
_cell_length_a 10.1968
_cell_length_b 10.1968
_cell_length_c 10.1968
_cell_angle_alpha 90.00
_cell_angle_beta 90.00
_cell_angle_gamma 90.00
loop_
_atom_site_label
_atom_site_type_symbol
_atom_site_fract_x
_atom_site_fract_y
_atom_site_fract_z
Nb1 Nb 0.0000 0.0000 0.0000
Si1 Si 0.0000 0.1162 0.3081
Si2 Si 0.0000 0.2500 0.5000
Si3 Si 0.1817 0.1817 0.1817
```